1.
Calculated powder diffractogram
Compound: Nd11Zn9Pd4
Radiation: Cu Kα X-rays
Structure: a DFT-relaxed cell (PBE, Alexandria)

Principal peaks in the range 2θ from 10° to 80°, low angle first:
2theta  d/Å  I (rel.)
21.55  4.124  56
24.92  3.573  61
31.54  2.837  108
32.15  2.784  70
32.74  2.736  123
34.52  2.598  1000
35.44  2.533  380
36.83  2.440  184
38.14  2.360  77
48.22  1.887  160
61.25  1.513  152
63.10  1.473  75

Structure:
Lattice parameters (Å, degrees): 12.9244 12.9244 3.7742 90.00 90.00 112.83
Atoms (fractional coordinates):
1 Nd 0.0000 0.0000 0.0000
2 Nd 0.0628 0.4098 0.0000
3 Nd 0.1705 0.8295 0.0000
4 Nd 0.2903 0.2903 0.0000
5 Nd 0.3707 0.6293 0.0000
6 Nd 0.4098 0.0628 0.0000
7 Nd 0.5902 0.9372 0.0000
8 Nd 0.6293 0.3707 0.0000
9 Nd 0.7097 0.7097 0.0000
10 Nd 0.8295 0.1705 0.0000
11 Nd 0.9372 0.5902 0.0000
12 Zn 0.0666 0.2121 0.5000
13 Zn 0.1647 0.6309 0.5000
14 Zn 0.2121 0.0666 0.5000
15 Zn 0.3691 0.8353 0.5000
16 Zn 0.5000 0.5000 0.5000
17 Zn 0.6309 0.1647 0.5000
18 Zn 0.7879 0.9334 0.5000
19 Zn 0.8353 0.3691 0.5000
20 Zn 0.9334 0.7879 0.5000
21 Pd 0.2471 0.4458 0.5000
22 Pd 0.4458 0.2471 0.5000
23 Pd 0.5542 0.7529 0.5000
24 Pd 0.7529 0.5542 0.5000


2.
Calculated powder diffractogram
Compound: NdZrPd
Radiation: Cu Kα X-rays
Structure: a DFT-relaxed cell (PBE, Alexandria)

Principal peaks in the range 2θ from 10° to 80°, low angle first:
2theta  d/Å  I (rel.)
26.98  3.305  157
28.11  3.174  458
30.70  2.912  1000
36.63  2.453  696
36.81  2.441  204
37.50  2.399  844
40.18  2.244  824
55.49  1.656  416
55.62  1.652  244
58.13  1.587  344
67.18  1.394  204
71.25  1.324  246

Structure:
Lattice parameters (Å, degrees): 4.4887 4.4887 14.6485 90.00 90.00 90.00
Atoms (fractional coordinates):
1 Nd 0.0000 0.0000 0.1811
2 Nd 0.0000 0.0000 0.8189
3 Nd 0.5000 0.5000 0.3189
4 Nd 0.5000 0.5000 0.6811
5 Zr 0.0000 0.5000 0.0000
6 Zr 0.0000 0.5000 0.5000
7 Zr 0.5000 0.0000 0.0000
8 Zr 0.5000 0.0000 0.5000
9 Pd 0.0000 0.0000 0.3754
10 Pd 0.0000 0.0000 0.6246
11 Pd 0.5000 0.5000 0.1246
12 Pd 0.5000 0.5000 0.8754


3.
Calculated powder diffractogram
Compound: Pm5Nd
Radiation: Cu Kα X-rays
Structure: a DFT-relaxed cell (PBE, Alexandria)

Principal peaks in the range 2θ from 10° to 80°, low angle first:
2theta  d/Å  I (rel.)
29.94  2.984  1000
34.71  2.584  507
49.90  1.827  363
59.22  1.560  145
59.33  1.558  288
62.22  1.492  125
73.12  1.294  19
73.32  1.291  38

Structure:
Lattice parameters (Å, degrees): 5.1646 15.5304 5.1654 90.00 90.00 90.00
Atoms (fractional coordinates):
1 Pm 0.0000 0.0000 0.0000
2 Pm 0.0000 0.1669 0.5000
3 Pm 0.0000 0.3332 0.0000
4 Pm 0.0000 0.6668 0.0000
5 Pm 0.0000 0.8331 0.5000
6 Pm 0.5000 0.1668 0.0000
7 Pm 0.5000 0.3331 0.5000
8 Pm 0.5000 0.5000 0.0000
9 Pm 0.5000 0.6669 0.5000
10 Pm 0.5000 0.8332 0.0000
11 Nd 0.0000 0.5000 0.5000
12 Nd 0.5000 0.0000 0.5000


4.
Calculated powder diffractogram
Compound: Pm4Nd5
Radiation: Cu Kα X-rays
Structure: a DFT-relaxed cell (PBE, Alexandria)

Principal peaks in the range 2θ from 10° to 80°, low angle first:
2theta  d/Å  I (rel.)
29.83  2.995  1000
34.58  2.594  507
49.70  1.834  364
59.05  1.564  434
61.96  1.498  125
72.93  1.297  58

Structure:
Lattice parameters (Å, degrees): 8.2012 8.2012 8.2012 95.75 95.75 143.09
Atoms (fractional coordinates):
1 Pm 0.0000 0.3340 0.3340
2 Pm 0.0000 0.6660 0.6660
3 Pm 0.3340 0.0000 0.3340
4 Pm 0.6660 0.0000 0.6660
5 Nd 0.0000 0.0000 0.0000
6 Nd 0.3331 0.3331 0.6662
7 Nd 0.3331 0.6669 0.0000
8 Nd 0.6669 0.3331 0.0000
9 Nd 0.6669 0.6669 0.3338


5.
Calculated powder diffractogram
Compound: Pm8Nd
Radiation: Cu Kα X-rays
Structure: a DFT-relaxed cell (PBE, Alexandria)

Principal peaks in the range 2θ from 10° to 80°, low angle first:
2theta  d/Å  I (rel.)
29.95  2.983  1000
34.72  2.584  507
49.92  1.827  363
59.31  1.558  433
62.23  1.492  125
73.27  1.292  58

Structure:
Lattice parameters (Å, degrees): 8.1700 8.1700 8.1700 95.74 95.74 143.12
Atoms (fractional coordinates):
1 Pm 0.0000 0.3335 0.3335
2 Pm 0.0000 0.6665 0.6665
3 Pm 0.3332 0.3332 0.6663
4 Pm 0.3332 0.6668 0.0000
5 Pm 0.3335 0.0000 0.3335
6 Pm 0.6665 0.0000 0.6665
7 Pm 0.6668 0.3332 0.0000
8 Pm 0.6668 0.6668 0.3337
9 Nd 0.0000 0.0000 0.0000


6.
Calculated powder diffractogram
Compound: Pm5Nd
Radiation: Cu Kα X-rays
Structure: a DFT-relaxed cell (PBE, Alexandria)

Principal peaks in the range 2θ from 10° to 80°, low angle first:
2theta  d/Å  I (rel.)
29.94  2.985  1000
34.71  2.585  507
49.90  1.828  363
59.21  1.560  145
59.33  1.558  288
62.21  1.492  125
73.10  1.294  19
73.31  1.291  38

Structure:
Lattice parameters (Å, degrees): 5.1778 10.9513 7.3084 90.00 90.00 90.00
Atoms (fractional coordinates):
1 Pm 0.2500 0.0831 0.1248
2 Pm 0.2500 0.0834 0.6253
3 Pm 0.2500 0.4169 0.1248
4 Pm 0.2500 0.4166 0.6253
5 Pm 0.2500 0.7500 0.1247
6 Pm 0.7500 0.2500 0.8753
7 Pm 0.7500 0.5834 0.3747
8 Pm 0.7500 0.5831 0.8752
9 Pm 0.7500 0.9166 0.3747
10 Pm 0.7500 0.9169 0.8752
11 Nd 0.2500 0.7500 0.6251
12 Nd 0.7500 0.2500 0.3749


7.
Calculated powder diffractogram
Compound: Pm3Nd
Radiation: Cu Kα X-rays
Structure: a DFT-relaxed cell (PBE, Alexandria)

Principal peaks in the range 2θ from 10° to 80°, low angle first:
2theta  d/Å  I (rel.)
28.06  3.180  80
29.07  3.071  421
30.16  2.963  343
31.94  2.802  1000
36.26  2.477  234
47.86  1.901  107
49.66  1.836  258
54.70  1.678  218
58.58  1.576  58
59.20  1.561  304
60.26  1.536  163
76.98  1.239  80

Structure:
Lattice parameters (Å, degrees): 6.3602 11.8531 7.3438 90.00 90.00 90.00
Atoms (fractional coordinates):
1 Pm 0.0835 0.2500 0.1252
2 Pm 0.2503 0.0003 0.3750
3 Pm 0.2497 0.9997 0.8750
4 Pm 0.2503 0.4997 0.3750
5 Pm 0.2497 0.5003 0.8750
6 Pm 0.4165 0.7500 0.6252
7 Pm 0.5835 0.2500 0.3748
8 Pm 0.7503 0.0003 0.1250
9 Pm 0.7497 0.9997 0.6250
10 Pm 0.7503 0.4997 0.1250
11 Pm 0.7497 0.5003 0.6250
12 Pm 0.9165 0.7500 0.8748
13 Nd 0.0831 0.2500 0.6248
14 Nd 0.4169 0.7500 0.1248
15 Nd 0.5831 0.2500 0.8752
16 Nd 0.9169 0.7500 0.3752


8.
Calculated powder diffractogram
Compound: Pm5Nd3
Radiation: Cu Kα X-rays
Structure: a DFT-relaxed cell (PBE, Alexandria)

Principal peaks in the range 2θ from 10° to 80°, low angle first:
2theta  d/Å  I (rel.)
29.91  2.988  1000
34.67  2.587  507
49.84  1.830  363
59.22  1.560  433
62.14  1.494  125
73.16  1.294  58

Structure:
Lattice parameters (Å, degrees): 5.1724 5.1755 10.3518 90.00 90.00 90.00
Atoms (fractional coordinates):
1 Pm 0.0000 0.0000 0.0000
2 Pm 0.0000 0.0000 0.5000
3 Pm 0.0000 0.5000 0.2496
4 Pm 0.0000 0.5000 0.7504
5 Pm 0.5000 0.5000 0.0000
6 Nd 0.5000 0.0000 0.2494
7 Nd 0.5000 0.0000 0.7506
8 Nd 0.5000 0.5000 0.5000